Simulated powder XRD pattern
Compound: BaS3O9
Radiation: Cu Kα
Structure: a structure optimized by DFT (GGA-PBE)

The 10 most intense peaks (10 to 90 degrees two-theta), in order of falling intensity:
2θ/deg	I/Imax	(hkl)
23.04	100	0 2 0
23.59	98	0 0 2
11.92	56	1 0 0
23.97	42	2 0 0
29.53	35	2 1 -2
32.54	33	2 2 -1
13.47	30	1 0 -1
33.21	30	0 2 2
16.43	28	0 1 1
16.56	25	1 1 0

Cell and atoms:
```
26
Lattice="7.9349 0.0000 0.0000 0.0000 7.7211 0.0000 -2.8388 0.0000 7.5418" Properties=species:S:1:pos:R:3 pbc="T T T"
Ba 0.7210 0.0000 2.0773
Ba 4.3751 3.8605 5.4644
S -0.9088 0.6551 5.7378
S 0.9141 3.9124 1.6431
S 0.3266 4.1613 5.9656
S 4.7695 0.3008 1.5762
S 4.1819 0.0519 5.8987
S 6.0049 4.5157 1.8040
O -0.6026 3.6378 2.2894
O 0.7009 4.1318 0.2148
O -1.3256 2.0614 5.6501
O -0.6938 4.8547 5.2024
O 0.0671 0.2632 4.7346
O -0.5996 0.2121 7.0898
O 1.5635 2.6580 1.9868
O 1.4462 5.0850 2.3233
O 1.5438 3.8322 5.2399
O 3.5523 7.6927 2.3019
O 3.6499 1.2244 5.2185
O 3.5325 6.5186 5.5549
O 5.6957 4.0726 0.4520
O 5.0290 4.1237 2.8071
O 5.7898 0.9942 2.3394
O 6.4217 5.9219 1.8916
O 4.3952 0.2713 7.3270
O 5.6987 7.4983 5.2524
```